Computed powder X-ray diffraction pattern of Mg6TiAl for Cu Kα, from a DFT-relaxed cell (GGA-PBE, the Materials Project).
Intensities are scaled so that the largest is 1000.

The 10 most intense peaks (10° ≤ 2θ ≤ 90°), low angle first:
d 5.451, 16.26 deg, rel. 87; d 2.726, 32.85 deg, rel. 257; d 2.428, 37.02 deg, rel. 239; d 2.377, 37.85 deg, rel. 1000; d 1.813, 50.32 deg, rel. 146; d 1.572, 58.72 deg, rel. 113; d 1.392, 67.26 deg, rel. 168; d 1.322, 71.34 deg, rel. 62; d 1.320, 71.48 deg, rel. 117; d 1.313, 71.90 deg, rel. 97

Cell and atoms:
```
data_Mg6TiAl
_chemical_formula_sum 'Mg6 Ti1 Al1'
_space_group_name_H-M_alt 'P 1'
_space_group_IT_number 1
_cell_length_a 4.857
_cell_length_b 6.290
_cell_length_c 6.290
_cell_angle_alpha 60.16
_cell_angle_beta 90.00
_cell_angle_gamma 90.00
loop_
_space_group_symop_operation_xyz
'x,y,z'
loop_
_atom_site_label
_atom_site_type_symbol
_atom_site_fract_x
_atom_site_fract_y
_atom_site_fract_z
Mg1 Mg 0.000 0.000 0.000
Mg2 Mg 0.000 0.009 0.497
Mg3 Mg 0.000 0.497 0.009
Mg4 Mg 0.500 0.339 0.830
Mg5 Mg 0.500 0.830 0.339
Mg6 Mg 0.500 0.834 0.834
Ti1 Ti 0.500 0.343 0.343
Al1 Al 0.000 0.487 0.487
```

Computed powder X-ray diffraction pattern of Mg16TiAl12 for Cu Kα, from a DFT-relaxed cell (GGA-PBE, the Materials Project).
Intensities are scaled so that the largest is 1000.

The 10 most intense peaks (10° ≤ 2θ ≤ 90°), low angle first:
d 2.611, 34.34 deg, rel. 193; d 2.494, 36.01 deg, rel. 512; d 2.487, 36.12 deg, rel. 410; d 2.465, 36.45 deg, rel. 987; d 2.431, 36.98 deg, rel. 1000; d 2.250, 40.07 deg, rel. 477; d 2.174, 41.53 deg, rel. 181; d 2.141, 42.21 deg, rel. 171; d 2.073, 43.66 deg, rel. 167; d 1.427, 65.38 deg, rel. 240

Cell and atoms:
```
data_Mg16TiAl12
_chemical_formula_sum 'Mg16 Ti1 Al12'
_space_group_name_H-M_alt 'P 1'
_space_group_IT_number 1
_cell_length_a 9.126
_cell_length_b 9.126
_cell_length_c 9.126
_cell_angle_alpha 110.14
_cell_angle_beta 110.14
_cell_angle_gamma 110.14
loop_
_space_group_symop_operation_xyz
'x,y,z'
loop_
_atom_site_label
_atom_site_type_symbol
_atom_site_fract_x
_atom_site_fract_y
_atom_site_fract_z
Mg1 Mg 0.000 0.000 0.000
Mg2 Mg 0.275 0.594 0.594
Mg3 Mg 0.310 0.310 0.715
Mg4 Mg 0.310 0.715 0.310
Mg5 Mg 0.390 0.682 0.996
Mg6 Mg 0.390 0.996 0.682
Mg7 Mg 0.594 0.275 0.594
Mg8 Mg 0.594 0.594 0.275
Mg9 Mg 0.651 0.991 0.991
Mg10 Mg 0.682 0.390 0.996
Mg11 Mg 0.682 0.996 0.390
Mg12 Mg 0.715 0.310 0.310
Mg13 Mg 0.991 0.651 0.991
Mg14 Mg 0.991 0.991 0.651
Mg15 Mg 0.996 0.390 0.682
Mg16 Mg 0.996 0.682 0.390
Ti1 Ti 0.356 0.356 0.356
Al1 Al 0.003 0.184 0.361
Al2 Al 0.003 0.361 0.184
Al3 Al 0.172 0.804 0.804
Al4 Al 0.184 0.003 0.361
Al5 Al 0.184 0.361 0.003
Al6 Al 0.361 0.003 0.184
Al7 Al 0.361 0.184 0.003
Al8 Al 0.620 0.620 0.802
Al9 Al 0.620 0.802 0.620
Al10 Al 0.802 0.620 0.620
Al11 Al 0.804 0.172 0.804
Al12 Al 0.804 0.804 0.172
```

Computed powder X-ray diffraction pattern of Mg6TiAl for Cu Kα, from a DFT-relaxed cell (GGA-PBE, the Materials Project).
Intensities are scaled so that the largest is 1000.

The 10 most intense peaks (10° ≤ 2θ ≤ 90°), low angle first:
d 2.738, 32.71 deg, rel. 115; d 2.651, 33.81 deg, rel. 295; d 2.496, 35.98 deg, rel. 416; d 2.401, 37.46 deg, rel. 590; d 2.341, 38.45 deg, rel. 1000; d 1.817, 50.20 deg, rel. 172; d 1.564, 59.08 deg, rel. 180; d 1.409, 66.32 deg, rel. 184; d 1.325, 71.15 deg, rel. 220; d 1.281, 73.99 deg, rel. 142

Cell and atoms:
```
data_Mg6TiAl
_chemical_formula_sum 'Mg6 Ti1 Al1'
_space_group_name_H-M_alt 'P 1'
_space_group_IT_number 1
_cell_length_a 4.992
_cell_length_b 6.258
_cell_length_c 6.258
_cell_angle_alpha 57.91
_cell_angle_beta 90.00
_cell_angle_gamma 90.00
loop_
_space_group_symop_operation_xyz
'x,y,z'
loop_
_atom_site_label
_atom_site_type_symbol
_atom_site_fract_x
_atom_site_fract_y
_atom_site_fract_z
Mg1 Mg 0.000 0.000 0.000
Mg2 Mg 0.000 0.009 0.502
Mg3 Mg 0.000 0.498 0.498
Mg4 Mg 0.000 0.502 0.009
Mg5 Mg 0.500 0.341 0.839
Mg6 Mg 0.500 0.839 0.341
Ti1 Ti 0.500 0.342 0.342
Al1 Al 0.500 0.838 0.838
```

Computed powder X-ray diffraction pattern of Mg16TiAl12 for Cu Kα, from a DFT-relaxed cell (GGA-PBE, the Materials Project).
Intensities are scaled so that the largest is 1000.

The 10 most intense peaks (10° ≤ 2θ ≤ 90°), low angle first:
d 7.399, 11.96 deg, rel. 62; d 2.466, 36.43 deg, rel. 1000; d 2.231, 40.43 deg, rel. 261; d 2.136, 42.32 deg, rel. 115; d 2.052, 44.13 deg, rel. 117; d 1.480, 62.79 deg, rel. 76; d 1.424, 65.56 deg, rel. 270; d 1.329, 70.92 deg, rel. 49; d 1.233, 77.39 deg, rel. 82; d 1.103, 88.69 deg, rel. 57

Cell and atoms:
```
data_Mg16TiAl12
_chemical_formula_sum 'Mg16 Ti1 Al12'
_space_group_name_H-M_alt 'P 1'
_space_group_IT_number 1
_cell_length_a 9.062
_cell_length_b 9.062
_cell_length_c 9.062
_cell_angle_alpha 109.47
_cell_angle_beta 109.47
_cell_angle_gamma 109.47
loop_
_space_group_symop_operation_xyz
'x,y,z'
loop_
_atom_site_label
_atom_site_type_symbol
_atom_site_fract_x
_atom_site_fract_y
_atom_site_fract_z
Mg1 Mg 0.000 0.000 0.657
Mg2 Mg 0.000 0.398 0.683
Mg3 Mg 0.000 0.657 0.000
Mg4 Mg 0.000 0.683 0.398
Mg5 Mg 0.285 0.602 0.602
Mg6 Mg 0.317 0.317 0.715
Mg7 Mg 0.317 0.715 0.317
Mg8 Mg 0.343 0.343 0.343
Mg9 Mg 0.398 0.000 0.683
Mg10 Mg 0.398 0.683 0.000
Mg11 Mg 0.602 0.285 0.602
Mg12 Mg 0.602 0.602 0.285
Mg13 Mg 0.657 0.000 0.000
Mg14 Mg 0.683 0.000 0.398
Mg15 Mg 0.683 0.398 0.000
Mg16 Mg 0.715 0.317 0.317
Ti1 Ti 0.000 0.000 0.000
Al1 Al 0.000 0.184 0.364
Al2 Al 0.000 0.364 0.184
Al3 Al 0.179 0.816 0.816
Al4 Al 0.184 0.000 0.364
Al5 Al 0.184 0.364 0.000
Al6 Al 0.364 0.000 0.184
Al7 Al 0.364 0.184 0.000
Al8 Al 0.636 0.636 0.821
Al9 Al 0.636 0.821 0.636
Al10 Al 0.816 0.179 0.816
Al11 Al 0.816 0.816 0.179
Al12 Al 0.821 0.636 0.636
```

Computed powder X-ray diffraction pattern of Tm2MgAl for Cu Kα, from a DFT-relaxed cell (GGA-PBE, the Materials Project).
Intensities are scaled so that the largest is 1000.

The 10 most intense peaks (10° ≤ 2θ ≤ 90°), low angle first:
d 3.629, 24.53 deg, rel. 650; d 2.566, 34.97 deg, rel. 1000; d 2.095, 43.18 deg, rel. 199; d 1.815, 50.28 deg, rel. 179; d 1.623, 56.72 deg, rel. 270; d 1.482, 62.71 deg, rel. 369; d 1.283, 73.86 deg, rel. 114; d 1.210, 79.18 deg, rel. 130; d 1.148, 84.40 deg, rel. 163; d 1.094, 89.58 deg, rel. 81

Cell and atoms:
```
data_Tm2MgAl
_chemical_formula_sum 'Tm2 Mg1 Al1'
_space_group_name_H-M_alt 'P 1'
_space_group_IT_number 1
_cell_length_a 5.132
_cell_length_b 5.132
_cell_length_c 5.132
_cell_angle_alpha 60.00
_cell_angle_beta 60.00
_cell_angle_gamma 60.00
loop_
_space_group_symop_operation_xyz
'x,y,z'
loop_
_atom_site_label
_atom_site_type_symbol
_atom_site_fract_x
_atom_site_fract_y
_atom_site_fract_z
Tm1 Tm 0.250 0.250 0.250
Tm2 Tm 0.750 0.750 0.750
Mg1 Mg 0.000 0.000 0.000
Al1 Al 0.500 0.500 0.500
```

Computed powder X-ray diffraction pattern of Mg16UAl12 for Cu Kα, from a DFT-relaxed cell (GGA-PBE, the Materials Project).
Intensities are scaled so that the largest is 1000.

The 10 most intense peaks (10° ≤ 2θ ≤ 90°), low angle first:
d 7.608, 11.63 deg, rel. 1000; d 7.316, 12.10 deg, rel. 708; d 5.274, 16.81 deg, rel. 400; d 4.334, 20.49 deg, rel. 469; d 3.375, 26.41 deg, rel. 281; d 2.536, 35.39 deg, rel. 495; d 2.491, 36.05 deg, rel. 797; d 2.439, 36.86 deg, rel. 848; d 2.286, 39.43 deg, rel. 446; d 2.168, 41.66 deg, rel. 359

Cell and atoms:
```
data_Mg16UAl12
_chemical_formula_sum 'Mg16 U1 Al12'
_space_group_name_H-M_alt 'P 1'
_space_group_IT_number 1
_cell_length_a 9.262
_cell_length_b 9.262
_cell_length_c 9.262
_cell_angle_alpha 110.47
_cell_angle_beta 110.47
_cell_angle_gamma 110.47
loop_
_space_group_symop_operation_xyz
'x,y,z'
loop_
_atom_site_label
_atom_site_type_symbol
_atom_site_fract_x
_atom_site_fract_y
_atom_site_fract_z
Mg1 Mg 0.000 0.000 0.000
Mg2 Mg 0.004 0.392 0.693
Mg3 Mg 0.004 0.693 0.392
Mg4 Mg 0.276 0.610 0.610
Mg5 Mg 0.319 0.319 0.723
Mg6 Mg 0.319 0.723 0.319
Mg7 Mg 0.392 0.004 0.693
Mg8 Mg 0.392 0.693 0.004
Mg9 Mg 0.610 0.276 0.610
Mg10 Mg 0.610 0.610 0.276
Mg11 Mg 0.657 0.998 0.998
Mg12 Mg 0.693 0.004 0.392
Mg13 Mg 0.693 0.392 0.004
Mg14 Mg 0.723 0.319 0.319
Mg15 Mg 0.998 0.657 0.998
Mg16 Mg 0.998 0.998 0.657
U1 U 0.374 0.374 0.374
Al1 Al 0.008 0.189 0.367
Al2 Al 0.008 0.367 0.189
Al3 Al 0.171 0.810 0.810
Al4 Al 0.189 0.008 0.367
Al5 Al 0.189 0.367 0.008
Al6 Al 0.367 0.008 0.189
Al7 Al 0.367 0.189 0.008
Al8 Al 0.627 0.627 0.807
Al9 Al 0.627 0.807 0.627
Al10 Al 0.807 0.627 0.627
Al11 Al 0.810 0.171 0.810
Al12 Al 0.810 0.810 0.171
```

Computed powder X-ray diffraction pattern of Mg16UAl12 for Cu Kα, from a DFT-relaxed cell (GGA-PBE, the Materials Project).
Intensities are scaled so that the largest is 1000.

The 10 most intense peaks (10° ≤ 2θ ≤ 90°), low angle first:
d 7.438, 11.90 deg, rel. 738; d 5.259, 16.86 deg, rel. 152; d 4.294, 20.68 deg, rel. 359; d 3.326, 26.80 deg, rel. 206; d 2.811, 31.83 deg, rel. 344; d 2.479, 36.23 deg, rel. 1000; d 2.243, 40.21 deg, rel. 198; d 2.147, 42.08 deg, rel. 195; d 1.488, 62.43 deg, rel. 165; d 1.431, 65.17 deg, rel. 306

Cell and atoms:
```
data_Mg16UAl12
_chemical_formula_sum 'Mg16 U1 Al12'
_space_group_name_H-M_alt 'P 1'
_space_group_IT_number 1
_cell_length_a 9.109
_cell_length_b 9.109
_cell_length_c 9.109
_cell_angle_alpha 109.47
_cell_angle_beta 109.47
_cell_angle_gamma 109.47
loop_
_space_group_symop_operation_xyz
'x,y,z'
loop_
_atom_site_label
_atom_site_type_symbol
_atom_site_fract_x
_atom_site_fract_y
_atom_site_fract_z
Mg1 Mg 0.000 0.000 0.640
Mg2 Mg 0.000 0.394 0.678
Mg3 Mg 0.000 0.640 0.000
Mg4 Mg 0.000 0.678 0.394
Mg5 Mg 0.284 0.606 0.606
Mg6 Mg 0.322 0.322 0.716
Mg7 Mg 0.322 0.716 0.322
Mg8 Mg 0.360 0.360 0.360
Mg9 Mg 0.394 0.000 0.678
Mg10 Mg 0.394 0.678 0.000
Mg11 Mg 0.606 0.284 0.606
Mg12 Mg 0.606 0.606 0.284
Mg13 Mg 0.640 0.000 0.000
Mg14 Mg 0.678 0.000 0.394
Mg15 Mg 0.678 0.394 0.000
Mg16 Mg 0.716 0.322 0.322
U1 U 0.000 0.000 0.000
Al1 Al 0.000 0.184 0.364
Al2 Al 0.000 0.364 0.184
Al3 Al 0.180 0.816 0.816
Al4 Al 0.184 0.000 0.364
Al5 Al 0.184 0.364 0.000
Al6 Al 0.364 0.000 0.184
Al7 Al 0.364 0.184 0.000
Al8 Al 0.636 0.636 0.820
Al9 Al 0.636 0.820 0.636
Al10 Al 0.816 0.180 0.816
Al11 Al 0.816 0.816 0.180
Al12 Al 0.820 0.636 0.636
```

Computed powder X-ray diffraction pattern of Mg16Al12V for Cu Kα, from a DFT-relaxed cell (GGA-PBE, the Materials Project).
Intensities are scaled so that the largest is 1000.

The 10 most intense peaks (10° ≤ 2θ ≤ 90°), low angle first:
d 2.618, 34.25 deg, rel. 258; d 2.496, 35.99 deg, rel. 899; d 2.465, 36.45 deg, rel. 879; d 2.445, 36.76 deg, rel. 1000; d 2.281, 39.51 deg, rel. 189; d 2.226, 40.53 deg, rel. 228; d 2.213, 40.78 deg, rel. 413; d 2.062, 43.90 deg, rel. 169; d 1.428, 65.36 deg, rel. 214; d 1.420, 65.78 deg, rel. 157

Cell and atoms:
```
data_Mg16Al12V
_chemical_formula_sum 'Mg16 Al12 V1'
_space_group_name_H-M_alt 'P 1'
_space_group_IT_number 1
_cell_length_a 9.005
_cell_length_b 9.005
_cell_length_c 9.005
_cell_angle_alpha 108.86
_cell_angle_beta 108.86
_cell_angle_gamma 108.86
loop_
_space_group_symop_operation_xyz
'x,y,z'
loop_
_atom_site_label
_atom_site_type_symbol
_atom_site_fract_x
_atom_site_fract_y
_atom_site_fract_z
Mg1 Mg 0.000 0.000 0.000
Mg2 Mg 0.278 0.675 0.675
Mg3 Mg 0.310 0.593 0.992
Mg4 Mg 0.310 0.992 0.593
Mg5 Mg 0.341 0.989 0.989
Mg6 Mg 0.403 0.403 0.702
Mg7 Mg 0.403 0.702 0.403
Mg8 Mg 0.593 0.310 0.992
Mg9 Mg 0.593 0.992 0.310
Mg10 Mg 0.675 0.278 0.675
Mg11 Mg 0.675 0.675 0.278
Mg12 Mg 0.702 0.403 0.403
Mg13 Mg 0.989 0.341 0.989
Mg14 Mg 0.989 0.989 0.341
Mg15 Mg 0.992 0.310 0.593
Mg16 Mg 0.992 0.593 0.310
Al1 Al 0.167 0.355 0.355
Al2 Al 0.181 0.181 0.807
Al3 Al 0.181 0.807 0.181
Al4 Al 0.355 0.167 0.355
Al5 Al 0.355 0.355 0.167
Al6 Al 0.627 0.808 0.990
Al7 Al 0.627 0.990 0.808
Al8 Al 0.807 0.181 0.181
Al9 Al 0.808 0.627 0.990
Al10 Al 0.808 0.990 0.627
Al11 Al 0.990 0.627 0.808
Al12 Al 0.990 0.808 0.627
V1 V 0.691 0.691 0.691
```

Computed powder X-ray diffraction pattern of Mg16Al12V for Cu Kα, from a DFT-relaxed cell (GGA-PBE, the Materials Project).
Intensities are scaled so that the largest is 1000.

The 10 most intense peaks (10° ≤ 2θ ≤ 90°), low angle first:
d 7.405, 11.95 deg, rel. 75; d 2.468, 36.40 deg, rel. 1000; d 2.233, 40.40 deg, rel. 260; d 2.138, 42.28 deg, rel. 117; d 2.054, 44.09 deg, rel. 120; d 1.481, 62.74 deg, rel. 77; d 1.425, 65.50 deg, rel. 268; d 1.330, 70.85 deg, rel. 50; d 1.234, 77.31 deg, rel. 81; d 1.104, 88.60 deg, rel. 57

Cell and atoms:
```
data_Mg16Al12V
_chemical_formula_sum 'Mg16 Al12 V1'
_space_group_name_H-M_alt 'P 1'
_space_group_IT_number 1
_cell_length_a 9.069
_cell_length_b 9.069
_cell_length_c 9.069
_cell_angle_alpha 109.47
_cell_angle_beta 109.47
_cell_angle_gamma 109.47
loop_
_space_group_symop_operation_xyz
'x,y,z'
loop_
_atom_site_label
_atom_site_type_symbol
_atom_site_fract_x
_atom_site_fract_y
_atom_site_fract_z
Mg1 Mg 0.000 0.000 0.660
Mg2 Mg 0.000 0.398 0.684
Mg3 Mg 0.000 0.660 0.000
Mg4 Mg 0.000 0.684 0.398
Mg5 Mg 0.286 0.602 0.602
Mg6 Mg 0.316 0.316 0.714
Mg7 Mg 0.316 0.714 0.316
Mg8 Mg 0.340 0.340 0.340
Mg9 Mg 0.398 0.000 0.684
Mg10 Mg 0.398 0.684 0.000
Mg11 Mg 0.602 0.286 0.602
Mg12 Mg 0.602 0.602 0.286
Mg13 Mg 0.660 0.000 0.000
Mg14 Mg 0.684 0.000 0.398
Mg15 Mg 0.684 0.398 0.000
Mg16 Mg 0.714 0.316 0.316
Al1 Al 0.000 0.184 0.364
Al2 Al 0.000 0.364 0.184
Al3 Al 0.179 0.816 0.816
Al4 Al 0.184 0.000 0.364
Al5 Al 0.184 0.364 0.000
Al6 Al 0.364 0.000 0.184
Al7 Al 0.364 0.184 0.000
Al8 Al 0.636 0.636 0.821
Al9 Al 0.636 0.821 0.636
Al10 Al 0.816 0.179 0.816
Al11 Al 0.816 0.816 0.179
Al12 Al 0.821 0.636 0.636
V1 V 0.000 0.000 0.000
```